For InBCl3, a DFT-relaxed cell (PBE, Alexandria) gives the simulated PXRD pattern in this record (Cu Kα, 1.54184 Å).

The 6 most intense peaks (2θ from 5° to 70°), by angle:
17.5 deg, d 5.082, I = 702, hkl 1 1 0; 27.3 deg, d 3.271, I = 1000, hkl 0 0 2; 31.1 deg, d 2.880, I = 530, hkl 0 2 0; 32.0 deg, d 2.796, I = 614, hkl 2 0 0; 32.1 deg, d 2.784, I = 606, hkl 2 2 2; 35.3 deg, d 2.546, I = 492, hkl 2 0 2

```
data_InBCl3
_space_group_name_H-M_alt 'P 1'
_space_group_IT_number 1
_cell_length_a 6.7349
_cell_length_b 6.8181
_cell_length_c 7.5452
_cell_angle_alpha 65.65
_cell_angle_beta 63.55
_cell_angle_gamma 60.72
loop_
_space_group_symop_operation_xyz
'x,y,z'
loop_
_atom_site_label
_atom_site_type_symbol
_atom_site_fract_x
_atom_site_fract_y
_atom_site_fract_z
_atom_site_occupancy
In1 In 0.0000 0.0000 0.0000 1
In2 In 0.4482 0.5749 0.5302 1
B1 B 0.6954 0.7161 0.8934 1
B2 B 0.7529 0.8572 0.6377 1
Cl1 Cl 0.4681 0.0477 0.5632 1
Cl2 Cl 0.5050 0.9305 0.0609 1
Cl3 Cl 0.5269 0.5238 0.9685 1
Cl4 Cl 0.9214 0.0494 0.5629 1
Cl5 Cl 0.9431 0.6429 0.4701 1
Cl6 Cl 0.9800 0.5259 0.9682 1
```